Theoretical X-ray powder pattern
Compound: Ba5P3O12F
Radiation: Cu Kα, 1.54184 Å
Structure: a PBE-relaxed structure
Peak positions follow from Bragg's law for the DFT cell and can differ from measured ones.

Largest 10 diffraction maxima, in order of rising 2θ, 2θ from 5° to 70°:
| 2theta | I_rel | index |
| --- | --- | --- |
| 19.88 | 26 | 2 0 0 |
| 24.81 | 40 | 1 0 2 |
| 26.40 | 38 | 1 2 0 |
| 28.61 | 86 | 1 1 2 |
| 28.79 | 100 | 1 2 1 |
| 30.01 | 54 | 3 0 0 |
| 41.94 | 33 | 2 2 2 |
| 43.20 | 30 | 3 1 2 |
| 43.81 | 35 | 1 2 3 |
| 46.82 | 31 | 4 0 2 |

Structural model:
Cell lengths 10.315, 10.315, 7.838 Å; angles 90.00, 90.00, 120.00 degrees
Fractional coordinates of all 42 atoms:
1 Ba 0.018 0.760 0.000
2 Ba 0.240 0.259 0.000
3 Ba 0.259 0.018 0.500
4 Ba 0.333 0.667 0.251
5 Ba 0.333 0.667 0.749
6 Ba 0.667 0.333 0.249
7 Ba 0.667 0.333 0.751
8 Ba 0.741 0.982 0.000
9 Ba 0.760 0.741 0.500
10 Ba 0.982 0.240 0.500
11 P 0.032 0.631 0.500
12 P 0.369 0.402 0.500
13 P 0.402 0.032 0.000
14 P 0.598 0.968 0.500
15 P 0.631 0.598 0.000
16 P 0.968 0.369 0.000
17 O 0.079 0.732 0.338
18 O 0.079 0.732 0.661
19 O 0.118 0.541 0.500
20 O 0.140 0.481 0.000
21 O 0.268 0.346 0.661
22 O 0.268 0.347 0.338
23 O 0.341 0.860 0.000
24 O 0.346 0.079 0.161
25 O 0.347 0.079 0.838
26 O 0.423 0.882 0.500
27 O 0.459 0.577 0.500
28 O 0.481 0.341 0.500
29 O 0.519 0.659 0.000
30 O 0.541 0.423 0.000
31 O 0.577 0.118 0.000
32 O 0.653 0.921 0.338
33 O 0.654 0.921 0.661
34 O 0.659 0.140 0.500
35 O 0.732 0.653 0.838
36 O 0.732 0.654 0.161
37 O 0.860 0.519 0.500
38 O 0.882 0.459 0.000
39 O 0.921 0.268 0.161
40 O 0.921 0.268 0.838
41 F 0.000 0.000 0.469
42 F 0.000 0.000 0.969